(1)
This entry pairs a crystal structure of Ca3Sb2N4 with its calculated powder diffraction line list. Radiation: Cu Kα, 1.54184 Å. Structure: a structure optimized by DFT (PBE).
Neutral-atom scattering factors, no anomalous dispersion.

Most intense lines, 15 to 90 degrees two-theta, most intense first:
- (2 2 1), 30.0 deg, rel. 100
- (1 1 -2), 35.4 deg, rel. 75
- (3 3 -1), 35.8 deg, rel. 55
- (0 4 0), 29.4 deg, rel. 55
- (3 1 -1), 28.9 deg, rel. 53
- (2 0 0), 16.6 deg, rel. 43
- (5 1 0), 43.0 deg, rel. 42
- (0 2 1), 22.7 deg, rel. 41
- (3 1 0), 26.1 deg, rel. 31
- (4 0 2), 53.7 deg, rel. 30

Structural model:
```
data_Ca3Sb2N4
_symmetry_space_group_name_H-M 'C 1 2/c 1'
_symmetry_Int_Tables_number 15
_cell_length_a 10.8418
_cell_length_b 12.1560
_cell_length_c 5.1957
_cell_angle_alpha 90.00
_cell_angle_beta 99.89
_cell_angle_gamma 90.00
loop_
_symmetry_equiv_pos_as_xyz
'x,y,z'
'-x,-y,-z'
'-x,y,-z+1/2'
'x,-y,z+1/2'
'x+1/2,y+1/2,z'
'-x+1/2,-y+1/2,-z'
'-x+1/2,y+1/2,-z+1/2'
'x+1/2,-y+1/2,z+1/2'
loop_
_atom_site_label
_atom_site_type_symbol
_atom_site_fract_x
_atom_site_fract_y
_atom_site_fract_z
Ca1 Ca 0.0000 0.1722 0.2500
Ca2 Ca 0.1074 0.4049 0.5602
Sb1 Sb 0.1933 0.0974 0.8398
N1 N 0.1134 0.3937 0.0749
N2 N 0.1706 0.0703 0.4352
```


(2)
This entry pairs a crystal structure of AsXeO3F6 with its calculated powder diffraction line list. Radiation: Cu Kα, 1.54184 Å. Structure: a structure optimized by DFT (PBE).
Neutral-atom scattering factors, no anomalous dispersion.

Most intense lines, 15 to 90 degrees two-theta, most intense first:
- (1 1 1), 16.9 deg, rel. 100
- (0 1 2), 21.6 deg, rel. 85
- (1 2 0), 21.9 deg, rel. 68
- (2 0 1), 22.1 deg, rel. 53
- (3 1 1), 33.1 deg, rel. 44
- (0 0 2), 19.2 deg, rel. 40
- (2 0 0), 19.9 deg, rel. 33
- (1 2 1), 23.9 deg, rel. 29
- (1 1 2), 23.8 deg, rel. 26
- (0 2 0), 19.5 deg, rel. 24

Structural model:
```
data_AsXeO3F6
_symmetry_space_group_name_H-M 'P 21 21 21'
_symmetry_Int_Tables_number 19
_cell_length_a 8.9292
_cell_length_b 9.1210
_cell_length_c 9.2230
_cell_angle_alpha 90.00
_cell_angle_beta 90.00
_cell_angle_gamma 90.00
loop_
_symmetry_equiv_pos_as_xyz
'x,y,z'
'-x+1/2,-y,z+1/2'
'x+1/2,-y+1/2,-z'
'-x,y+1/2,-z+1/2'
loop_
_atom_site_label
_atom_site_type_symbol
_atom_site_fract_x
_atom_site_fract_y
_atom_site_fract_z
As1 As 0.1326 0.1273 0.1110
Xe1 Xe 0.0175 0.5460 0.9520
O1 O 0.0006 0.2534 0.5846
O2 O 0.0999 0.4635 0.7862
O3 O 0.1821 0.6223 0.0646
F1 F 0.0430 0.5452 0.3825
F2 F 0.0517 0.3086 0.1117
F3 F 0.1334 0.1249 0.9212
F4 F 0.1365 0.1327 0.3049
F5 F 0.1864 0.7931 0.6109
F6 F 0.2249 0.9510 0.1170
```


(3)
This entry pairs a crystal structure of HgO2F2 with its calculated powder diffraction line list. Radiation: Cu Kα, 1.54184 Å. Structure: a structure optimized by DFT (PBE).
Neutral-atom scattering factors, no anomalous dispersion.

Most intense lines, 15 to 90 degrees two-theta, most intense first:
- (1 1 1), 25.5 deg, rel. 100
- (3 1 1), 38.2 deg, rel. 53
- (2 0 0), 19.7 deg, rel. 51
- (2 2 0), 38.7 deg, rel. 21
- (2 0 2), 39.5 deg, rel. 20
- (1 1 3), 55.8 deg, rel. 19
- (1 3 1), 54.5 deg, rel. 19
- (2 2 2), 52.4 deg, rel. 17
- (5 1 1), 56.5 deg, rel. 16
- (0 2 0), 33.0 deg, rel. 13

Structural model:
```
data_HgO2F2
_symmetry_space_group_name_H-M 'P b c n'
_symmetry_Int_Tables_number 60
_cell_length_a 9.0250
_cell_length_b 5.4348
_cell_length_c 5.2802
_cell_angle_alpha 90.00
_cell_angle_beta 90.00
_cell_angle_gamma 90.00
loop_
_symmetry_equiv_pos_as_xyz
'x,y,z'
'-x,-y,-z'
'-x+1/2,-y+1/2,z+1/2'
'x+1/2,y+1/2,-z+1/2'
'x+1/2,-y+1/2,-z'
'-x+1/2,y+1/2,z'
'-x,y,-z+1/2'
'x,-y,z+1/2'
loop_
_atom_site_label
_atom_site_type_symbol
_atom_site_fract_x
_atom_site_fract_y
_atom_site_fract_z
Hg1 Hg 0.0000 0.2376 0.2500
O1 O 0.1341 0.1083 0.5924
F1 F 0.1349 0.3939 0.8944
```


(4)
This entry pairs a crystal structure of LiMg2Tl with its calculated powder diffraction line list. Radiation: Cu Kα, 1.54184 Å. Structure: a structure optimized by DFT (PBE).
Neutral-atom scattering factors, no anomalous dispersion.

Most intense lines, 15 to 90 degrees two-theta, most intense first:
- (1 1 1), 22.0 deg, rel. 100
- (2 2 0), 36.3 deg, rel. 74
- (3 1 1), 42.8 deg, rel. 54
- (2 0 0), 25.4 deg, rel. 32
- (4 2 2), 65.3 deg, rel. 27
- (3 3 1), 57.3 deg, rel. 23
- (5 3 1), 81.2 deg, rel. 18
- (5 1 1), 69.8 deg, rel. 17
- (4 2 0), 59.0 deg, rel. 14
- (4 0 0), 52.2 deg, rel. 13

Structural model:
```
data_LiMg2Tl
_symmetry_space_group_name_H-M 'F m -3 m'
_symmetry_Int_Tables_number 225
_symmetry_space_group_name_Hall '-F 4 2 3'
_cell_length_a 7.0050
_cell_length_b 7.0050
_cell_length_c 7.0050
_cell_angle_alpha 90.00
_cell_angle_beta 90.00
_cell_angle_gamma 90.00
loop_
_atom_site_label
_atom_site_type_symbol
_atom_site_fract_x
_atom_site_fract_y
_atom_site_fract_z
Li1 Li 0.0000 0.0000 0.0000
Mg1 Mg 0.2500 0.2500 0.2500
Tl1 Tl 0.0000 0.0000 0.5000
```


(5)
This entry pairs a crystal structure of CdH3Cl3O with its calculated powder diffraction line list. Radiation: Cu Kα, 1.54184 Å. Structure: a structure optimized by DFT (PBE).
Neutral-atom scattering factors, no anomalous dispersion.

Most intense lines, 15 to 90 degrees two-theta, most intense first:
- (2 1 2), 32.5 deg, rel. 100
- (1 1 1), 24.9 deg, rel. 93
- (1 0 2), 15.3 deg, rel. 71
- (2 0 4), 31.0 deg, rel. 57
- (0 1 5), 36.0 deg, rel. 50
- (3 1 4), 45.3 deg, rel. 50
- (2 0 3), 27.0 deg, rel. 37
- (1 0 6), 35.8 deg, rel. 31
- (0 2 0), 44.5 deg, rel. 29
- (1 1 7), 47.4 deg, rel. 29

Structural model:
```
data_CdH3Cl3O
_symmetry_space_group_name_H-M 'P n m a'
_symmetry_Int_Tables_number 62
_cell_length_a 8.4916
_cell_length_b 4.0750
_cell_length_c 15.7479
_cell_angle_alpha 90.00
_cell_angle_beta 90.00
_cell_angle_gamma 90.00
loop_
_symmetry_equiv_pos_as_xyz
'x,y,z'
'-x,-y,-z'
'-x+1/2,-y,z+1/2'
'x+1/2,y,-z+1/2'
'x+1/2,-y+1/2,-z+1/2'
'-x+1/2,y+1/2,z+1/2'
'-x,y+1/2,-z'
'x,-y+1/2,z'
loop_
_atom_site_label
_atom_site_type_symbol
_atom_site_fract_x
_atom_site_fract_y
_atom_site_fract_z
Cd1 Cd 0.1743 0.2500 0.0528
H1 H 0.0097 0.0469 0.6882
H2 H 0.1666 0.7500 0.3184
Cl1 Cl 0.0219 0.2500 0.8959
Cl2 Cl 0.1704 0.2500 0.4959
Cl3 Cl 0.1773 0.7500 0.7107
O1 O 0.0534 0.7500 0.3324
```


(6)
This entry pairs a crystal structure of Ba3Y2Cu2PtO10 with its calculated powder diffraction line list. Radiation: Cu Kα, 1.54184 Å. Structure: a structure optimized by DFT (PBE).
Neutral-atom scattering factors, no anomalous dispersion.

Most intense lines, 15 to 90 degrees two-theta, most intense first:
- (3 1 1), 31.9 deg, rel. 100
- (0 2 0), 30.4 deg, rel. 50
- (3 1 -1), 26.9 deg, rel. 47
- (3 3 1), 55.0 deg, rel. 27
- (1 1 -2), 28.2 deg, rel. 26
- (0 0 2), 24.5 deg, rel. 21
- (0 2 2), 39.5 deg, rel. 20
- (6 2 2), 66.7 deg, rel. 20
- (3 1 -2), 32.2 deg, rel. 19
- (5 1 -3), 48.0 deg, rel. 16

Structural model:
```
data_Ba3Y2Cu2PtO10
_symmetry_space_group_name_H-M 'C 1 2/m 1'
_symmetry_Int_Tables_number 12
_cell_length_a 12.6049
_cell_length_b 5.8768
_cell_length_c 7.5313
_cell_angle_alpha 90.00
_cell_angle_beta 105.53
_cell_angle_gamma 90.00
loop_
_symmetry_equiv_pos_as_xyz
'x,y,z'
'-x,-y,-z'
'-x,y,-z'
'x,-y,z'
'x+1/2,y+1/2,z'
'-x+1/2,-y+1/2,-z'
'-x+1/2,y+1/2,-z'
'x+1/2,-y+1/2,z'
loop_
_atom_site_label
_atom_site_type_symbol
_atom_site_fract_x
_atom_site_fract_y
_atom_site_fract_z
Ba1 Ba 0.0000 0.0000 0.0000
Ba2 Ba 0.1532 0.0000 0.5404
Y1 Y 0.1887 0.5000 0.8737
Cu1 Cu 0.0894 0.5000 0.1999
Pt1 Pt 0.0000 0.5000 0.5000
O1 O 0.0170 0.2794 0.7176
O2 O 0.1675 0.5000 0.5521
O3 O 0.1828 0.2713 0.1247
```